# 1
Simulated PXRD pattern
Compound: Li5CeTl4
Radiation: Cu Ka
Structure: a structure optimized by DFT (GGA-PBE)

Crystal structure
```
data_Li5CeTl4
_space_group_name_H-M_alt 'P 4/m m m'
_space_group_IT_number 123
_space_group_name_Hall '-P 4 2'
_cell_length_a 3.5595
_cell_length_b 3.5595
_cell_length_c 17.3345
_cell_angle_alpha 90.00
_cell_angle_beta 90.00
_cell_angle_gamma 90.00
loop_
_atom_site_label
_atom_site_fract_x
_atom_site_fract_y
_atom_site_fract_z
Li1 0.0000 0.0000 0.0000
Li2 0.0000 0.0000 0.1901
Li3 0.0000 0.0000 0.3702
Ce1 0.5000 0.5000 0.5000
Tl1 0.5000 0.5000 0.0982
Tl2 0.5000 0.5000 0.2918
```

Peak list (10 most intense, 2θ = 5–70°, by angle)
2θ = 25.02°, I = 100, (1 0 0)
2θ = 25.70°, I = 46, (0 0 5)
2θ = 35.67°, I = 45, (1 1 0)
2θ = 36.17°, I = 84, (1 0 5)
2θ = 44.48°, I = 44, (1 1 5)
2θ = 51.34°, I = 16, (2 0 0)
2θ = 57.93°, I = 20, (2 1 0)
2θ = 58.27°, I = 20, (2 0 5)
2θ = 59.30°, I = 17, (1 0 10)
2θ = 64.40°, I = 32, (2 1 5)



# 2
Simulated PXRD pattern
Compound: Rb2HPd
Radiation: Cu Ka
Structure: a structure optimized by DFT (GGA-PBE)

Crystal structure
```
data_Rb2HPd
_space_group_name_H-M_alt 'P 1 21/m 1'
_space_group_IT_number 11
_space_group_name_Hall '-P 2yb'
_cell_length_a 8.9029
_cell_length_b 3.5540
_cell_length_c 9.3285
_cell_angle_alpha 90.00
_cell_angle_beta 105.27
_cell_angle_gamma 90.00
loop_
_atom_site_label
_atom_site_fract_x
_atom_site_fract_y
_atom_site_fract_z
Rb1 0.2458 0.2500 0.0635
Rb2 0.2468 0.2500 0.5604
H1 0.0135 0.2500 0.2537
Pd1 0.0215 0.7500 0.2560
```

Peak list (10 most intense, 2θ = 5–70°, by angle)
2θ = 10.30°, I = 93, (1 0 0)
2θ = 24.62°, I = 100, (1 0 2)
2θ = 27.15°, I = 38, (1 1 0)
2θ = 32.09°, I = 32, (0 1 2)
2θ = 32.37°, I = 52, (3 0 -2)
2θ = 35.40°, I = 17, (2 1 -2)
2θ = 38.59°, I = 31, (1 0 -4)
2θ = 40.46°, I = 24, (3 1 0)
2θ = 57.16°, I = 17, (2 1 4)
2θ = 57.81°, I = 18, (1 2 2)



# 3
Simulated PXRD pattern
Compound: Tl2Au
Radiation: Cu Ka
Structure: a structure optimized by DFT (GGA-PBE)

Crystal structure
```
data_Tl2Au
_space_group_name_H-M_alt 'I 4/m c m'
_space_group_IT_number 140
_space_group_name_Hall '-I 4 2c'
_cell_length_a 7.4029
_cell_length_b 7.4029
_cell_length_c 5.7561
_cell_angle_alpha 90.00
_cell_angle_beta 90.00
_cell_angle_gamma 90.00
loop_
_atom_site_label
_atom_site_fract_x
_atom_site_fract_y
_atom_site_fract_z
Tl1 0.1545 0.3455 0.0000
Au1 0.0000 0.0000 0.2500
```

Peak list (10 most intense, 2θ = 5–70°, by angle)
2θ = 31.16°, I = 100, (2 1 1)
2θ = 34.26°, I = 12, (2 2 0)
2θ = 35.60°, I = 38, (1 1 2)
2θ = 38.45°, I = 51, (3 1 0)
2θ = 39.67°, I = 31, (2 0 2)
2θ = 53.46°, I = 11, (4 1 1)
2θ = 55.34°, I = 19, (2 1 3)
2θ = 55.51°, I = 9, (4 2 0)
2θ = 59.37°, I = 20, (4 0 2)
2θ = 62.22°, I = 24, (3 3 2)



# 4
Simulated PXRD pattern
Compound: NdEr6Zn2
Radiation: Cu Ka
Structure: a structure optimized by DFT (GGA-PBE)

Crystal structure
```
data_NdEr6Zn2
_space_group_name_H-M_alt 'C 1 2/m 1'
_space_group_IT_number 12
_space_group_name_Hall '-C 2y'
_cell_length_a 12.3856
_cell_length_b 3.6044
_cell_length_c 11.6818
_cell_angle_alpha 90.00
_cell_angle_beta 108.53
_cell_angle_gamma 90.00
loop_
_atom_site_label
_atom_site_fract_x
_atom_site_fract_y
_atom_site_fract_z
Nd1 0.0000 0.0000 0.0000
Er1 0.0213 0.0000 0.3344
Er2 0.1873 0.5000 0.5871
Er3 0.1906 0.5000 0.8736
Zn1 0.1527 0.5000 0.2151
```

Peak list (10 most intense, 2θ = 5–70°, by angle)
2θ = 32.37°, I = 28, (4 0 -3)
2θ = 32.49°, I = 25, (2 0 3)
2θ = 33.85°, I = 100, (1 1 -3)
2θ = 46.39°, I = 6, (6 0 0)
2θ = 46.65°, I = 9, (2 0 -6)
2θ = 50.65°, I = 9, (0 2 0)
2θ = 58.76°, I = 12, (5 1 3)
2θ = 58.90°, I = 9, (1 1 6)
2θ = 61.40°, I = 13, (4 2 -3)
2θ = 61.48°, I = 8, (2 2 3)



# 5
Simulated PXRD pattern
Compound: KNa4Au2
Radiation: Cu Ka
Structure: a structure optimized by DFT (GGA-PBE)

Crystal structure
```
data_KNa4Au2
_space_group_name_H-M_alt 'P 42/m n m'
_space_group_IT_number 136
_space_group_name_Hall '-P 4n 2n'
_cell_length_a 9.2204
_cell_length_b 9.2204
_cell_length_c 4.9269
_cell_angle_alpha 90.00
_cell_angle_beta 90.00
_cell_angle_gamma 90.00
loop_
_atom_site_label
_atom_site_fract_x
_atom_site_fract_y
_atom_site_fract_z
K1 0.0000 0.0000 0.0000
Na1 0.0909 0.3344 0.5000
Au1 0.2184 0.7816 0.5000
```

Peak list (10 most intense, 2θ = 5–70°, by angle)
2θ = 19.25°, I = 69, (2 0 0)
2θ = 21.55°, I = 18, (2 1 0)
2θ = 22.62°, I = 100, (1 1 1)
2θ = 27.36°, I = 37, (2 2 0)
2θ = 28.22°, I = 22, (2 1 1)
2θ = 35.78°, I = 76, (3 1 1)
2θ = 36.47°, I = 19, (0 0 2)
2θ = 40.33°, I = 23, (4 1 0)
2θ = 41.56°, I = 23, (2 0 2)
2θ = 46.19°, I = 18, (2 2 2)